No. 1
This entry pairs a crystal structure of TmMg10Zn3 with its simulated X-ray diffraction stick pattern. Radiation: Cu Ka. Structure: the GGA-PBE geometry in Alexandria.

Principal peaks in the range 2θ = 10–90°, sorted by position:
2θ 22.43, intensity 1000; 2θ 25.95, intensity 404; 2θ 29.08, intensity 337; 2θ 33.92, intensity 212; 2θ 37.03, intensity 723; 2θ 43.73, intensity 779; 2θ 58.61, intensity 245; 2θ 66.74, intensity 274

Structure:
```
TmMg10Zn3
1.0
0.0000 6.8660 6.8660
6.8660 0.0000 6.8660
6.8660 6.8660 0.0000
Tm Mg Zn
2 20 6
Direct
0.2500 0.2500 0.2500
0.7500 0.7500 0.7500
0.0000 0.0000 0.3447
0.0000 0.0000 0.6553
0.0000 0.3447 0.0000
0.0000 0.3447 0.6553
0.0000 0.6553 0.0000
0.0000 0.6553 0.3447
0.1545 0.6152 0.6152
0.3447 0.0000 0.0000
0.3447 0.0000 0.6553
0.3447 0.6553 0.0000
0.3848 0.3848 0.3848
0.3848 0.3848 0.8455
0.3848 0.8455 0.3848
0.6152 0.1545 0.6152
0.6152 0.6152 0.1545
0.6152 0.6152 0.6152
0.6553 0.0000 0.0000
0.6553 0.0000 0.3447
0.6553 0.3447 0.0000
0.8455 0.3848 0.3848
0.2687 0.2687 0.7313
0.2687 0.7313 0.2687
0.2687 0.7313 0.7313
0.7313 0.2687 0.2687
0.7313 0.2687 0.7313
0.7313 0.7313 0.2687
```

No. 2
This entry pairs a crystal structure of TmMg6Zn6 with its simulated X-ray diffraction stick pattern. Radiation: Cu Ka. Structure: the GGA-PBE geometry in Alexandria.

Principal peaks in the range 2θ = 10–90°, sorted by position:
2θ 13.28, intensity 444; 2θ 18.72, intensity 259; 2θ 26.67, intensity 691; 2θ 37.87, intensity 322; 2θ 38.06, intensity 556; 2θ 38.22, intensity 1000; 2θ 38.47, intensity 295; 2θ 54.88, intensity 246

Structure:
```
TmMg6Zn6
1.0
-2.7270 4.6804 4.7511
2.7270 -4.6804 4.7511
2.7270 4.6804 -4.7511
Tm Mg Zn
1 6 6
Direct
0.0000 0.0000 0.0000
0.1939 0.5000 0.6939
0.3455 0.3455 0.0000
0.3461 0.0000 0.3461
0.6539 0.0000 0.6539
0.6545 0.6545 0.0000
0.8061 0.5000 0.3061
0.0000 0.0000 0.5000
0.0000 0.5000 0.0000
0.2239 0.7239 0.5000
0.5000 0.0000 0.0000
0.5000 0.5000 0.5000
0.7761 0.2761 0.5000
```

No. 3
This entry pairs a crystal structure of Tm4MgZn3 with its simulated X-ray diffraction stick pattern. Radiation: Cu Ka. Structure: the GGA-PBE geometry in Alexandria.

Principal peaks in the range 2θ = 10–90°, sorted by position:
2θ 24.77, intensity 140; 2θ 24.99, intensity 270; 2θ 35.47, intensity 1000; 2θ 35.63, intensity 489; 2θ 43.88, intensity 123; 2θ 51.28, intensity 170; 2θ 63.59, intensity 179; 2θ 63.90, intensity 343

Structure:
```
Tm4MgZn3
1.0
3.5945 0.0000 0.0000
0.0000 5.0415 0.0000
0.0000 0.0000 10.0747
Tm Mg Zn
4 1 3
Direct
0.0000 0.0000 0.0000
0.0000 0.0000 0.5000
0.0000 0.5000 0.2381
0.0000 0.5000 0.7619
0.5000 0.5000 0.5000
0.5000 0.0000 0.2570
0.5000 0.0000 0.7430
0.5000 0.5000 0.0000
```

No. 4
This entry pairs a crystal structure of Tm5MgZn6 with its simulated X-ray diffraction stick pattern. Radiation: Cu Ka. Structure: the GGA-PBE geometry in Alexandria.

Principal peaks in the range 2θ = 10–90°, sorted by position:
2θ 25.62, intensity 111; 2θ 36.41, intensity 1000; 2θ 36.71, intensity 197; 2θ 52.66, intensity 137; 2θ 65.32, intensity 71; 2θ 65.51, intensity 208; 2θ 65.92, intensity 138; 2θ 77.33, intensity 107

Structure:
```
Tm5MgZn6
1.0
-2.4478 3.5029 7.4065
2.4478 -3.5029 7.4065
2.4478 3.5029 -7.4065
Tm Mg Zn
5 1 6
Direct
0.0000 0.0000 0.0000
0.1691 0.6691 0.5000
0.3366 0.3366 0.0000
0.6634 0.6634 0.0000
0.8309 0.3309 0.5000
0.5000 0.0000 0.5000
0.0922 0.8368 0.2554
0.2581 0.5000 0.7581
0.4186 0.1632 0.2554
0.5814 0.8368 0.7446
0.7419 0.5000 0.2419
0.9078 0.1632 0.7446
```

No. 5
This entry pairs a crystal structure of TmMg3Zr2 with its simulated X-ray diffraction stick pattern. Radiation: Cu Ka. Structure: the GGA-PBE geometry in Alexandria.

Principal peaks in the range 2θ = 10–90°, sorted by position:
2θ 10.43, intensity 645; 2θ 31.65, intensity 642; 2θ 34.65, intensity 652; 2θ 35.90, intensity 449; 2θ 36.04, intensity 1000; 2θ 36.34, intensity 947; 2θ 36.51, intensity 361; 2θ 56.36, intensity 455

Structure:
```
TmMg3Zr2
1.0
9.8506 -1.6333 0.0000
9.8506 1.6333 0.0000
-5.2709 0.0000 8.9141
Tm Mg Zr
2 6 4
Direct
0.1086 0.1086 0.4879
0.8914 0.8914 0.5121
0.1088 0.1088 0.9871
0.4357 0.4357 0.2955
0.4441 0.4441 0.8245
0.5559 0.5559 0.1755
0.5643 0.5643 0.7045
0.8912 0.8912 0.0129
0.2239 0.2239 0.3507
0.2312 0.2312 0.8576
0.7688 0.7688 0.1424
0.7761 0.7761 0.6493
```

No. 6
This entry pairs a crystal structure of Tm3Mg4Zr with its simulated X-ray diffraction stick pattern. Radiation: Cu Ka. Structure: the GGA-PBE geometry in Alexandria.

Principal peaks in the range 2θ = 10–90°, sorted by position:
2θ 23.49, intensity 322; 2θ 24.41, intensity 614; 2θ 34.14, intensity 1000; 2θ 34.79, intensity 501; 2θ 42.41, intensity 276; 2θ 50.02, intensity 178; 2θ 60.68, intensity 165; 2θ 61.95, intensity 354

Structure:
```
Tm3Mg4Zr
1.0
3.6466 0.0000 0.0000
0.0000 3.6466 0.0000
0.0000 0.0000 15.1459
Tm Mg Zr
3 4 1
Direct
0.0000 0.0000 0.0000
0.0000 0.0000 0.2619
0.0000 0.0000 0.7381
0.5000 0.5000 0.1307
0.5000 0.5000 0.3883
0.5000 0.5000 0.6117
0.5000 0.5000 0.8693
0.0000 0.0000 0.5000
```